Eu2CN2Cl2: computed PXRD pattern (Cu Kα, 1.54184 Å), based on a DFT-relaxed cell (PBE, the Materials Project).
Intensities are scaled so that the largest is 100.

Most intense lines, 2θ = 10–80°, low angle first:
2θ/deg, intensity, h k l
18.53, 51, 2 0 0
20.78, 37, 2 0 -1
24.84, 57, 0 0 2
25.53, 100, 1 1 -1
26.82, 38, 1 1 1
33.08, 54, 1 1 -2
33.30, 43, 2 0 2
35.23, 69, 3 1 0

Cell: 9.6765 4.2270 7.2425 Å, 90.00 98.24 90.00°
Space group C2/m (No. 12)
Asymmetric unit:
Eu  0.1819  0.0000  0.2712
C  0.0000  0.5000  0.5000
N  0.1164  0.5000  0.4475
Cl  0.1296  0.0000  0.8505